Entry 1:
This entry pairs a crystal structure of CsPrP4O12 with its calculated X-ray powder pattern. Radiation: CuKα. Structure: a cell relaxed with PBE.

The 12 most intense peaks (2θ = 10–90°), by angle:
(0 1 1), 13.80 deg, rel. 85
(1 1 0), 15.58 deg, rel. 84
(0 2 0), 18.97 deg, rel. 48
(1 1 1), 19.65 deg, rel. 60
(1 0 -2), 21.86 deg, rel. 75
(1 2 0), 22.71 deg, rel. 73
(1 2 -1), 24.02 deg, rel. 46
(1 0 2), 25.41 deg, rel. 65
(1 2 1), 25.71 deg, rel. 100
(2 1 -1), 27.02 deg, rel. 59
(0 3 1), 30.41 deg, rel. 76
(3 2 0), 42.48 deg, rel. 48

Structure:
Cell: 7.2624 9.3540 8.9377 Å, 90.00 99.49 90.00°
Space group P2_1 (No. 4)
Inequivalent atoms, fractional coordinates:
Cs 0.1699 0.0000 0.1727 (multiplicity 2)
Pr 0.2997 0.1652 0.6978 (multiplicity 2)
P 0.1450 0.5390 0.5431 (multiplicity 2)
P 0.1923 0.5916 0.2267 (multiplicity 2)
P 0.4158 0.3900 0.0722 (multiplicity 2)
P 0.4385 0.7745 0.6245 (multiplicity 2)
O 0.0089 0.1348 0.8166 (multiplicity 2)
O 0.0420 0.1101 0.4915 (multiplicity 2)
O 0.1622 0.4036 0.6332 (multiplicity 2)
O 0.2248 0.4631 0.1128 (multiplicity 2)
O 0.2252 0.5080 0.3879 (multiplicity 2)
O 0.2871 0.6514 0.6378 (multiplicity 2)
O 0.3431 0.7019 0.2304 (multiplicity 2)
O 0.3479 0.9177 0.5943 (multiplicity 2)
O 0.3583 0.3171 0.9242 (multiplicity 2)
O 0.4262 0.9956 0.9084 (multiplicity 2)
O 0.4268 0.2204 0.4721 (multiplicity 2)
O 0.4537 0.2661 0.2004 (multiplicity 2)

=====

Entry 2:
This entry pairs a crystal structure of CsPSO2 with its calculated X-ray powder pattern. Radiation: CuKα. Structure: a cell relaxed with PBE.

The 12 most intense peaks (2θ = 10–90°), by angle:
(1 -1 1), 19.08 deg, rel. 21
(1 0 -1), 19.78 deg, rel. 31
(1 1 2), 21.89 deg, rel. 27
(2 1 1), 22.79 deg, rel. 54
(1 2 0), 22.99 deg, rel. 48
(0 1 -2), 24.86 deg, rel. 100
(2 1 0), 24.97 deg, rel. 44
(0 2 1), 25.14 deg, rel. 96
(2 0 2), 26.02 deg, rel. 50
(2 -1 0), 30.12 deg, rel. 51
(2 -1 2), 30.85 deg, rel. 23
(2 3 1), 35.81 deg, rel. 19

Structure:
Cell: 8.0139 8.1894 8.8424 Å, 83.42 65.42 74.47°
Space group P-1 (No. 2)
Inequivalent atoms, fractional coordinates:
Cs 0.1409 0.1654 0.1377 (multiplicity 2)
Cs 0.3384 0.6463 0.3399 (multiplicity 2)
P 0.2195 0.1958 0.5823 (multiplicity 2)
P 0.4272 0.9086 0.7313 (multiplicity 2)
S 0.1517 0.3837 0.7344 (multiplicity 2)
S 0.3229 0.7440 0.9024 (multiplicity 2)
O 0.0887 0.1865 0.5040 (multiplicity 2)
O 0.2570 0.0106 0.6734 (multiplicity 2)
O 0.4313 0.1993 0.4404 (multiplicity 2)
O 0.4825 0.9708 0.2327 (multiplicity 2)

=====

Entry 3:
This entry pairs a crystal structure of CsPSO2 with its calculated X-ray powder pattern. Radiation: CuKα. Structure: a cell relaxed with PBE.

The 12 most intense peaks (2θ = 10–90°), by angle:
(1 1 -1), 13.87 deg, rel. 24
(2 0 -2), 18.45 deg, rel. 28
(2 1 2), 21.62 deg, rel. 45
(3 0 -2), 23.45 deg, rel. 59
(3 0 2), 24.02 deg, rel. 72
(2 2 0), 24.60 deg, rel. 97
(1 2 -2), 25.64 deg, rel. 100
(1 2 2), 25.78 deg, rel. 50
(0 1 4), 28.99 deg, rel. 38
(2 1 4), 32.16 deg, rel. 24
(5 1 0), 34.47 deg, rel. 25
(5 2 2), 41.84 deg, rel. 34

Structure:
Cell: 13.6610 8.5364 13.2168 Å, 90.00 91.46 90.00°
Space group P2_1/c (No. 14)
Inequivalent atoms, fractional coordinates:
Cs 0.0337 0.2220 0.1630 (multiplicity 4)
Cs 0.2553 0.5011 0.9018 (multiplicity 4)
Cs 0.4239 0.2113 0.6816 (multiplicity 4)
P 0.1494 0.6910 0.6204 (multiplicity 4)
P 0.2395 0.0476 0.9824 (multiplicity 4)
P 0.3646 0.6664 0.6098 (multiplicity 4)
S 0.0594 0.6390 0.0802 (multiplicity 4)
S 0.2241 0.0501 0.8344 (multiplicity 4)
S 0.4624 0.6785 0.0677 (multiplicity 4)
O 0.1319 0.6018 0.7164 (multiplicity 4)
O 0.1526 0.5682 0.5248 (multiplicity 4)
O 0.2404 0.1976 0.0417 (multiplicity 4)
O 0.2608 0.7375 0.1192 (multiplicity 4)
O 0.3382 0.5553 0.5118 (multiplicity 4)
O 0.3851 0.5692 0.7028 (multiplicity 4)

=====

Entry 4:
This entry pairs a crystal structure of CsSb2PO8 with its calculated X-ray powder pattern. Radiation: CuKα. Structure: a cell relaxed with PBE.

The 12 most intense peaks (2θ = 10–90°), by angle:
(1 1 0), 13.34 deg, rel. 45
(0 0 2), 14.74 deg, rel. 87
(4 0 -2), 19.50 deg, rel. 52
(1 1 2), 21.94 deg, rel. 88
(2 2 0), 26.87 deg, rel. 38
(2 2 -2), 27.85 deg, rel. 100
(6 0 -3), 29.42 deg, rel. 48
(1 1 -4), 29.95 deg, rel. 84
(6 0 -1), 30.51 deg, rel. 33
(4 2 0), 33.27 deg, rel. 51
(8 2 -3), 46.49 deg, rel. 47
(0 4 0), 50.01 deg, rel. 36

Structure:
Cell: 18.5150 7.2946 13.9371 Å, 90.00 120.41 90.00°
Space group C2/m (No. 12)
Inequivalent atoms, fractional coordinates:
Cs 0.1103 0.0000 0.4278 (multiplicity 4)
Cs 0.1360 0.0000 0.9142 (multiplicity 4)
Sb 0.0488 0.5000 0.2631 (multiplicity 4)
Sb 0.1266 0.5000 0.7699 (multiplicity 4)
Sb 0.2058 0.2509 0.2307 (multiplicity 8)
P 0.1075 0.5000 0.9960 (multiplicity 4)
P 0.1590 0.5000 0.5625 (multiplicity 4)
O 0.0133 0.5000 0.9079 (multiplicity 4)
O 0.0349 0.3207 0.7400 (multiplicity 8)
O 0.0962 0.5000 0.6057 (multiplicity 4)
O 0.1111 0.5000 0.4363 (multiplicity 4)
O 0.1182 0.2923 0.2702 (multiplicity 8)
O 0.1271 0.3233 0.0674 (multiplicity 8)
O 0.1604 0.0000 0.1896 (multiplicity 4)
O 0.1623 0.5000 0.9399 (multiplicity 4)
O 0.2061 0.2959 0.8078 (multiplicity 8)
O 0.2153 0.3243 0.6038 (multiplicity 8)
O 0.2476 0.0000 0.7253 (multiplicity 4)